Record 1
This entry pairs a crystal structure of TbMg2NpO8 with its computed X-ray diffraction stick pattern. Radiation: Cu Kα, 1.54184 Å. Structure: a crystal structure in Alexandria, relaxed with GGA-PBE.

The 10 most intense peaks (2θ = 10–90°), sorted by position:
2θ/deg, intensity
18.8, 100
19.0, 98
25.5, 55
26.6, 88
27.2, 95
31.9, 70
32.0, 82
37.1, 72
50.5, 34
51.3, 32

Crystal structure
Unit cell a=4.663 b=6.987 c=4.726 alpha=90.00 beta=91.31 gamma=90.00
Element x y z (fractional)
Tb 0.000 0.000 0.000
Mg 0.500 0.278 0.500
Mg 0.500 0.722 0.500
Np 0.000 0.500 0.000
O 0.209 0.269 0.828
O 0.209 0.731 0.828
O 0.279 0.500 0.317
O 0.354 0.000 0.419
O 0.646 0.000 0.581
O 0.721 0.500 0.683
O 0.791 0.269 0.172
O 0.791 0.731 0.172

***

Record 2
This entry pairs a crystal structure of Mg2NpTl3O6 with its computed X-ray diffraction stick pattern. Radiation: Cu Kα, 1.54184 Å. Structure: a crystal structure in Alexandria, relaxed with GGA-PBE.

The 10 most intense peaks (2θ = 10–90°), sorted by position:
2θ/deg, intensity
12.7, 27
18.8, 16
25.6, 66
32.3, 17
33.1, 89
36.4, 100
47.7, 40
54.9, 30
57.0, 29
63.5, 33

Crystal structure
Unit cell a=5.598 b=5.598 c=7.202 alpha=97.44 beta=97.44 gamma=120.00
Element x y z (fractional)
Mg 0.167 0.833 0.000
Mg 0.833 0.167 0.000
Np 0.500 0.500 0.000
Tl 0.000 0.000 0.500
Tl 0.333 0.667 0.500
Tl 0.667 0.333 0.500
O 0.126 0.450 0.849
O 0.227 0.227 0.151
O 0.450 0.126 0.849
O 0.550 0.874 0.151
O 0.773 0.773 0.849
O 0.874 0.550 0.151

***

Record 3
This entry pairs a crystal structure of TmMg2NpO6 with its computed X-ray diffraction stick pattern. Radiation: Cu Kα, 1.54184 Å. Structure: a crystal structure in Alexandria, relaxed with GGA-PBE.

The 10 most intense peaks (2θ = 10–90°), sorted by position:
2θ/deg, intensity
22.4, 100
30.9, 62
32.8, 50
40.0, 23
45.6, 24
50.1, 36
52.6, 20
53.7, 11
57.3, 24
58.5, 16

Crystal structure
Unit cell a=5.814 b=5.814 c=5.814 alpha=56.11 beta=56.11 gamma=56.11
Element x y z (fractional)
Tm 0.000 0.000 0.000
Mg 0.284 0.284 0.284
Mg 0.790 0.790 0.790
Np 0.493 0.493 0.493
O 0.091 0.681 0.414
O 0.193 0.585 0.900
O 0.414 0.091 0.681
O 0.585 0.900 0.193
O 0.681 0.414 0.091
O 0.900 0.193 0.585

***

Record 4
This entry pairs a crystal structure of MgNpOs with its computed X-ray diffraction stick pattern. Radiation: Cu Kα, 1.54184 Å. Structure: a crystal structure in Alexandria, relaxed with GGA-PBE.

The 10 most intense peaks (2θ = 10–90°), sorted by position:
2θ/deg, intensity
12.7, 46
17.8, 95
18.1, 42
31.4, 100
38.6, 50
39.0, 85
40.6, 81
41.1, 28
42.4, 28
48.0, 26

Crystal structure
Unit cell a=6.992 b=6.992 c=6.992 alpha=88.91 beta=88.91 gamma=88.91
Element x y z (fractional)
Mg 0.120 0.367 0.436
Mg 0.367 0.436 0.120
Mg 0.436 0.120 0.367
Mg 0.564 0.880 0.633
Mg 0.633 0.564 0.880
Mg 0.880 0.633 0.564
Np 0.005 0.283 0.884
Np 0.116 0.995 0.717
Np 0.283 0.884 0.005
Np 0.717 0.116 0.995
Np 0.884 0.005 0.283
Np 0.995 0.717 0.116
Os 0.242 0.756 0.432
Os 0.244 0.568 0.758
Os 0.432 0.242 0.756
Os 0.568 0.758 0.244
Os 0.756 0.432 0.242
Os 0.758 0.244 0.568

***

Record 5
This entry pairs a crystal structure of Mg2NpRh3 with its computed X-ray diffraction stick pattern. Radiation: Cu Kα, 1.54184 Å. Structure: a crystal structure in Alexandria, relaxed with GGA-PBE.

The 10 most intense peaks (2θ = 10–90°), sorted by position:
2θ/deg, intensity
15.9, 6
22.4, 6
23.8, 34
33.0, 6
39.4, 100
46.6, 11
57.0, 17
71.5, 26
71.7, 8
84.8, 5

Crystal structure
Unit cell a=4.574 b=4.574 c=11.164 alpha=90.00 beta=90.00 gamma=120.00
Element x y z (fractional)
Mg 0.000 0.000 0.000
Mg 0.000 0.000 0.500
Mg 0.333 0.667 0.151
Mg 0.667 0.333 0.849
Np 0.333 0.667 0.672
Np 0.667 0.333 0.328
Rh 0.000 0.000 0.245
Rh 0.000 0.000 0.755
Rh 0.333 0.667 0.415
Rh 0.333 0.667 0.911
Rh 0.667 0.333 0.089
Rh 0.667 0.333 0.585

***

Record 6
This entry pairs a crystal structure of MgNp3Se6 with its computed X-ray diffraction stick pattern. Radiation: Cu Kα, 1.54184 Å. Structure: a crystal structure in Alexandria, relaxed with GGA-PBE.

The 10 most intense peaks (2θ = 10–90°), sorted by position:
2θ/deg, intensity
16.3, 68
18.1, 23
24.1, 100
24.5, 57
33.3, 54
35.9, 84
36.7, 55
40.4, 57
48.5, 42
62.3, 27

Crystal structure
Unit cell a=8.934 b=8.934 c=6.930 alpha=90.00 beta=90.00 gamma=101.84
Element x y z (fractional)
Mg 0.198 0.802 0.500
Mg 0.802 0.198 0.000
Np 0.078 0.280 0.459
Np 0.280 0.078 0.959
Np 0.397 0.603 0.879
Np 0.603 0.397 0.379
Np 0.720 0.922 0.459
Np 0.922 0.720 0.959
Se 0.030 0.970 0.672
Se 0.096 0.554 0.694
Se 0.224 0.776 0.133
Se 0.308 0.367 0.167
Se 0.367 0.308 0.667
Se 0.446 0.904 0.694
Se 0.554 0.096 0.194
Se 0.633 0.692 0.167
Se 0.692 0.633 0.667
Se 0.776 0.224 0.633
Se 0.904 0.446 0.194
Se 0.970 0.030 0.172

***

Record 7
This entry pairs a crystal structure of MgNpTl2Se4 with its computed X-ray diffraction stick pattern. Radiation: Cu Kα, 1.54184 Å. Structure: a crystal structure in Alexandria, relaxed with GGA-PBE.

The 10 most intense peaks (2θ = 10–90°), sorted by position:
2θ/deg, intensity
13.2, 14
23.0, 16
26.1, 17
29.4, 100
29.6, 49
39.9, 37
40.5, 19
43.6, 18
44.5, 35
53.6, 19

Crystal structure
Unit cell a=7.012 b=4.149 c=8.114 alpha=90.00 beta=107.27 gamma=90.00
Element x y z (fractional)
Mg 0.000 0.000 0.000
Np 0.500 0.500 0.000
Tl 0.000 0.500 0.500
Tl 0.500 0.000 0.500
Se 0.230 0.500 0.195
Se 0.266 0.000 0.797
Se 0.734 0.000 0.203
Se 0.770 0.500 0.805

***

Record 8
This entry pairs a crystal structure of MgNpSn6 with its computed X-ray diffraction stick pattern. Radiation: Cu Kα, 1.54184 Å. Structure: a crystal structure in Alexandria, relaxed with GGA-PBE.

The 10 most intense peaks (2θ = 10–90°), sorted by position:
2θ/deg, intensity
21.3, 13
28.7, 7
33.2, 100
38.0, 17
38.7, 33
55.4, 24
55.9, 12
65.6, 15
66.5, 28
69.6, 13

Crystal structure
Unit cell a=4.654 b=4.654 c=9.463 alpha=90.00 beta=90.00 gamma=90.00
Element x y z (fractional)
Mg 0.000 0.000 0.000
Np 0.000 0.000 0.500
Sn 0.000 0.500 0.248
Sn 0.000 0.500 0.752
Sn 0.500 0.000 0.248
Sn 0.500 0.000 0.752
Sn 0.500 0.500 0.000
Sn 0.500 0.500 0.500

***

Record 9
This entry pairs a crystal structure of Mg2NpZn9 with its computed X-ray diffraction stick pattern. Radiation: Cu Kα, 1.54184 Å. Structure: a crystal structure in Alexandria, relaxed with GGA-PBE.

The 10 most intense peaks (2θ = 10–90°), sorted by position:
2θ/deg, intensity
10.5, 59
24.0, 36
33.8, 27
34.5, 23
35.5, 26
39.4, 33
39.9, 25
40.2, 100
43.0, 26
64.8, 24

Crystal structure
Unit cell a=8.962 b=8.962 c=8.962 alpha=34.41 beta=34.41 gamma=34.41
Element x y z (fractional)
Mg 0.140 0.140 0.140
Mg 0.860 0.860 0.860
Np 0.000 0.000 0.000
Zn 0.079 0.588 0.588
Zn 0.334 0.334 0.334
Zn 0.412 0.412 0.921
Zn 0.412 0.921 0.412
Zn 0.500 0.500 0.500
Zn 0.588 0.079 0.588
Zn 0.588 0.588 0.079
Zn 0.666 0.666 0.666
Zn 0.921 0.412 0.412

***

Record 10
This entry pairs a crystal structure of MgO8 with its computed X-ray diffraction stick pattern. Radiation: Cu Kα, 1.54184 Å. Structure: a crystal structure in Alexandria, relaxed with GGA-PBE.

The 10 most intense peaks (2θ = 10–90°), sorted by position:
2θ/deg, intensity
17.9, 45
20.1, 69
26.8, 40
27.2, 100
27.6, 83
36.3, 64
39.0, 67
39.9, 52
40.9, 93
41.7, 60

Crystal structure
Unit cell a=4.953 b=4.991 c=5.109 alpha=62.21 beta=89.13 gamma=89.16
Element x y z (fractional)
Mg 0.000 0.000 0.000
O 0.058 0.518 0.155
O 0.082 0.085 0.549
O 0.395 0.483 0.685
O 0.407 0.042 0.059
O 0.580 0.411 0.565
O 0.593 0.964 0.920
O 0.893 0.397 0.048
O 0.915 0.981 0.429

***

Record 11
This entry pairs a crystal structure of MgOs2O6 with its computed X-ray diffraction stick pattern. Radiation: Cu Kα, 1.54184 Å. Structure: a crystal structure in Alexandria, relaxed with GGA-PBE.

The 10 most intense peaks (2θ = 10–90°), sorted by position:
2θ/deg, intensity
20.5, 30
28.9, 100
35.9, 33
46.7, 27
55.7, 30
60.3, 25
64.5, 11
67.5, 9
83.4, 10
89.8, 9

Crystal structure
Unit cell a=8.666 b=8.666 c=4.394 alpha=90.00 beta=90.00 gamma=120.00
Element x y z (fractional)
Mg 0.000 0.000 0.000
Mg 0.333 0.667 0.497
Mg 0.667 0.333 0.503
Os 0.000 0.342 0.000
Os 0.000 0.676 0.500
Os 0.324 0.324 0.500
Os 0.342 0.000 0.000
Os 0.658 0.658 0.000
Os 0.676 0.000 0.500
O 0.101 0.558 0.251
O 0.113 0.232 0.241
O 0.119 0.887 0.241
O 0.213 0.434 0.742
O 0.221 0.787 0.742
O 0.232 0.113 0.759
O 0.434 0.213 0.258
O 0.442 0.544 0.251
O 0.456 0.899 0.251
O 0.544 0.442 0.749
O 0.558 0.101 0.749
O 0.566 0.779 0.742
O 0.768 0.881 0.241
O 0.779 0.566 0.258
O 0.787 0.221 0.258
O 0.881 0.768 0.759
O 0.887 0.119 0.759
O 0.899 0.456 0.749

***

Record 12
This entry pairs a crystal structure of Mg2OsPbO8 with its computed X-ray diffraction stick pattern. Radiation: Cu Kα, 1.54184 Å. Structure: a crystal structure in Alexandria, relaxed with GGA-PBE.

The 10 most intense peaks (2θ = 10–90°), sorted by position:
2θ/deg, intensity
18.9, 100
26.1, 43
27.1, 22
27.5, 37
33.2, 70
38.0, 30
38.3, 17
47.5, 18
50.8, 29
52.4, 27

Crystal structure
Unit cell a=4.707 b=6.582 c=4.711 alpha=90.00 beta=92.98 gamma=90.00
Element x y z (fractional)
Mg 0.000 0.243 0.000
Mg 0.000 0.757 0.000
Os 0.500 0.000 0.500
Pb 0.500 0.500 0.500
O 0.189 0.500 0.188
O 0.213 0.000 0.212
O 0.307 0.205 0.691
O 0.307 0.795 0.691
O 0.693 0.205 0.309
O 0.693 0.795 0.309
O 0.787 0.000 0.788
O 0.811 0.500 0.812